For Tl3Fe2Cl3F4, the PBE+U geometry in Alexandria gives the computed powder diffractogram in this record (Cu Kα X-rays).

Cell and atoms:
Cell: 4.0668 5.1002 24.8586 Å, 90.00 90.00 90.00°
Space group Immm (No. 71)
One atom of each set of equivalent atoms:
Tl 0.0000 0.0000 0.0000 x2
Tl 0.0000 0.0000 0.1990 x4
Fe 0.0000 0.0000 0.3916 x4
Cl 0.0000 0.0000 0.5000 x2
Cl 0.0000 0.5000 0.3956 x4
F 0.0000 0.0000 0.3079 x4
F 0.0000 0.5000 0.1067 x4

Largest 12 diffraction maxima, sorted by position, 15 to 90 degrees two-theta:
d_spacing, I (rel.), index
4.996, 25, 0 1 1
3.560, 100, 0 1 5
3.180, 96, 1 1 0
3.148, 91, 1 0 5
2.831, 36, 1 1 4
2.550, 47, 0 2 0
2.522, 36, 1 1 6
2.486, 41, 0 0 10
1.981, 50, 1 2 5
1.958, 48, 1 1 10
1.780, 29, 0 2 10
1.766, 29, 2 1 5